Computed powder diffraction line list of Ho2Er2Se3S2 for a wavelength of 1.5418 Å, from a DFT-relaxed cell (GGA-PBE, Alexandria).
Kinematic intensities with the Lorentz-polarization factor, no thermal factor.

Atomic structure:
Cell: 7.992 7.992 7.992 Å, 139.64 139.64 58.40°
Fractional positions:
Ho 0.212 0.212 0.000
Ho 0.788 0.788 0.000
Er 0.000 0.500 0.500
Er 0.500 0.000 0.500
Se 0.000 0.000 0.000
Se 0.250 0.750 0.500
Se 0.750 0.250 0.500
S 0.401 0.401 0.000
S 0.599 0.599 0.000

Peak list (10 most intense, 2θ from 10° to 90°, by angle)
- d 3.488, 2θ 25.54, I 50
- d 3.404, 2θ 26.18, I 47
- d 2.757, 2θ 32.47, I 100
- d 2.490, 2θ 36.07, I 33
- d 2.163, 2θ 41.76, I 54
- d 1.950, 2θ 46.59, I 36
- d 1.848, 2θ 49.31, I 26
- d 1.702, 2θ 53.87, I 26
- d 1.233, 2θ 77.40, I 25
- d 1.163, 2θ 83.08, I 15